Record 1
K3HWS4O: theoretical powder diffractogram (Cu Kα (λ = 1.5418 Å)), based on a DFT-relaxed cell (PBE+U, the Materials Project).

Structure:
Cell: 9.721 6.540 8.355 Å, 90.00 90.00 90.00°
Space group Pmn2_1 (No. 31)
Symmetry-distinct sites (fractional):
K  0.000  0.003  0.000 x2
K  0.227  0.606  0.748 x4
H  0.000  0.613  0.163 x2
W  0.000  0.998  0.494 x2
S  0.000  0.338  0.526 x2
S  0.000  0.501  0.027 x2
S  0.187  0.906  0.355 x4
O  0.000  0.870  0.685 x2

Main lines, in order of rising 2θ (2θ = 15–90°):
18.25 deg, d 4.860, I 31.9, (2 0 0); 19.51 deg, d 4.551, I 100.0, (1 1 1); 22.80 deg, d 3.901, I 46.5, (2 1 0); 25.30 deg, d 3.521, I 46.5, (0 1 2); 27.27 deg, d 3.270, I 29.9, (0 2 0); 28.17 deg, d 3.168, I 93.2, (2 0 2); 34.81 deg, d 2.577, I 31.2, (0 2 2); 39.61 deg, d 2.276, I 41.1, (2 2 2)

=====

Record 2
Li9Mn2Co5O16: theoretical powder diffractogram (Cu Kα (λ = 1.5418 Å)), based on a DFT-relaxed cell (PBE+U, the Materials Project).

Structure:
Cell: 15.265 2.894 13.117 Å, 90.00 93.05 90.00°
Space group Cm (No. 8)
Symmetry-distinct sites (fractional):
Li  0.000  0.000  0.000 x2
Li  0.001  0.500  0.485 x2
Li  0.124  0.000  0.364 x2
Li  0.128  0.500  0.884 x2
Li  0.184  0.000  0.061 x2
Li  0.247  0.000  0.751 x2
Li  0.250  0.500  0.235 x2
Li  0.370  0.500  0.616 x2
Li  0.372  0.000  0.123 x2
Mn  0.064  0.000  0.682 x2
Mn  0.433  0.000  0.811 x2
Co  0.067  0.500  0.171 x2
Co  0.188  0.500  0.549 x2
Co  0.301  0.500  0.951 x2
Co  0.314  0.000  0.428 x2
Co  0.440  0.500  0.304 x2
O  0.016  0.000  0.841 x2
O  0.024  0.500  0.331 x2
O  0.088  0.500  0.037 x2
O  0.100  0.000  0.524 x2
O  0.146  0.000  0.212 x2
O  0.149  0.500  0.708 x2
O  0.222  0.000  0.902 x2
O  0.226  0.500  0.403 x2
O  0.275  0.000  0.581 x2
O  0.285  0.500  0.084 x2
O  0.349  0.000  0.280 x2
O  0.353  0.500  0.774 x2
O  0.397  0.000  0.948 x2
O  0.402  0.500  0.459 x2
O  0.475  0.000  0.666 x2
O  0.475  0.500  0.157 x2

Main lines, in order of rising 2θ (2θ = 15–90°):
18.32 deg, d 4.841, I 100.0, (2 0 2); 35.17 deg, d 2.552, I 14.2, (4 0 -4); 36.19 deg, d 2.482, I 25.1, (3 1 -1); 42.46 deg, d 2.129, I 27.7, (2 0 -6); 43.94 deg, d 2.061, I 54.3, (5 1 1); 57.88 deg, d 1.593, I 9.5, (7 1 3); 62.66 deg, d 1.483, I 14.5, (3 1 7); 62.84 deg, d 1.479, I 13.4, (7 1 -5)

=====

Record 3
Li3Fe8B8O24: theoretical powder diffractogram (Cu Kα (λ = 1.5418 Å)), based on a DFT-relaxed cell (PBE+U, the Materials Project).

Structure:
Cell: 5.236 5.263 20.138 Å, 90.07 90.53 119.20°
Space group P1 (No. 1)
Symmetry-distinct sites (fractional):
Li  0.000  0.000  0.000 x1
Li  0.031  0.980  0.249 x1
Li  0.697  0.680  0.377 x1
Fe  0.031  0.331  0.859 x1
Fe  0.036  0.336  0.360 x1
Fe  0.354  0.002  0.611 x1
Fe  0.357  0.657  0.735 x1
Fe  0.366  0.650  0.232 x1
Fe  0.369  0.004  0.109 x1
Fe  0.671  0.341  0.982 x1
Fe  0.683  0.325  0.487 x1
B  0.015  0.333  0.609 x1
B  0.025  0.338  0.107 x1
B  0.353  0.673  0.984 x1
B  0.355  0.667  0.486 x1
B  0.359  0.992  0.857 x1
B  0.359  0.994  0.361 x1
B  0.698  0.329  0.733 x1
B  0.699  0.328  0.234 x1
O  0.057  0.099  0.606 x1
O  0.067  0.101  0.099 x1
O  0.084  0.441  0.466 x1
O  0.096  0.991  0.353 x1
O  0.100  0.420  0.961 x1
O  0.118  0.026  0.858 x1
O  0.234  0.600  0.635 x1
O  0.249  0.603  0.130 x1
O  0.326  0.913  0.005 x1
O  0.341  0.731  0.835 x1
O  0.372  0.926  0.509 x1
O  0.383  0.750  0.344 x1
O  0.438  0.077  0.213 x1
O  0.480  0.060  0.708 x1
O  0.602  0.641  0.479 x1
O  0.609  0.246  0.385 x1
O  0.618  0.686  0.984 x1
O  0.629  0.213  0.879 x1
O  0.655  0.562  0.735 x1
O  0.709  0.592  0.238 x1
O  0.753  0.321  0.587 x1
O  0.756  0.312  0.089 x1
O  0.944  0.303  0.252 x1
O  0.958  0.341  0.756 x1

Main lines, in order of rising 2θ (2θ = 15–90°):
19.61 deg, d 4.527, I 79.7, (1 -1 0); 21.31 deg, d 4.169, I 48.1, (0 1 2); 21.46 deg, d 4.141, I 81.3, (1 0 2); 26.18 deg, d 3.403, I 79.1, (1 0 -4); 33.75 deg, d 2.656, I 31.0, (1 1 0); 34.08 deg, d 2.631, I 34.1, (1 -2 0); 34.26 deg, d 2.618, I 35.9, (2 -1 0); 35.67 deg, d 2.517, I 100.0, (0 0 8)

=====

Record 4
Li2PWCO7: theoretical powder diffractogram (Cu Kα (λ = 1.5418 Å)), based on a DFT-relaxed cell (PBE+U, the Materials Project).

Structure:
Cell: 4.998 6.690 8.815 Å, 90.00 95.39 90.00°
Space group P2_1/m (No. 11)
Symmetry-distinct sites (fractional):
Li  0.243  0.020  0.279 x4
P  0.270  0.750  0.908 x2
W  0.210  0.250  0.844 x2
C  0.290  0.250  0.555 x2
O  0.052  0.250  0.606 x2
O  0.156  0.566  0.818 x4
O  0.181  0.750  0.072 x2
O  0.328  0.250  0.415 x2
O  0.416  0.250  0.078 x2
O  0.493  0.250  0.665 x2

Main lines, in order of rising 2θ (2θ = 15–90°):
16.66 deg, d 5.320, I 100.0, (0 1 1); 19.66 deg, d 4.514, I 35.2, (1 0 -1); 21.34 deg, d 4.164, I 58.0, (1 0 1); 22.27 deg, d 3.993, I 67.4, (1 1 0); 25.78 deg, d 3.456, I 48.3, (1 0 -2); 26.65 deg, d 3.345, I 67.3, (0 2 0); 36.63 deg, d 2.453, I 27.7, (2 0 -1); 39.54 deg, d 2.279, I 27.9, (1 1 3)

=====

Record 5
Rb4MgCo2O6: theoretical powder diffractogram (Cu Kα (λ = 1.5418 Å)), based on a DFT-relaxed cell (PBE+U, the Materials Project).

Structure:
Cell: 7.573 10.536 5.911 Å, 90.00 95.26 90.00°
Space group Cm (No. 8)
Symmetry-distinct sites (fractional):
Rb  0.000  0.187  0.000 x4
Rb  0.098  0.308  0.542 x4
Mg  0.283  0.500  0.263 x2
Co  0.226  0.000  0.503 x2
Co  0.376  0.000  0.013 x2
O  0.129  0.500  0.006 x2
O  0.297  0.122  0.761 x4
O  0.307  0.122  0.262 x4
O  0.472  0.500  0.478 x2

Main lines, in order of rising 2θ (2θ = 15–90°):
29.13 deg, d 3.066, I 58.0, (2 2 0); 29.28 deg, d 3.050, I 38.5, (2 0 1); 30.37 deg, d 2.943, I 48.9, (0 0 2); 31.43 deg, d 2.847, I 100.0, (1 3 -1); 32.49 deg, d 2.756, I 62.3, (1 3 1); 36.99 deg, d 2.430, I 23.4, (2 0 -2); 40.91 deg, d 2.206, I 28.6, (2 2 -2); 42.64 deg, d 2.121, I 25.4, (1 3 2)

=====

Record 6
MgZn2Fe4O8: theoretical powder diffractogram (Cu Kα (λ = 1.5418 Å)), based on a DFT-relaxed cell (PBE+U, the Materials Project).

Structure:
Cell: 10.435 5.997 6.419 Å, 90.00 123.72 90.00°
Space group C2/m (No. 12)
Symmetry-distinct sites (fractional):
Mg  0.000  0.000  0.000 x2
Zn  0.250  0.250  0.000 x4
Fe  0.000  0.500  0.000 x2
Fe  0.000  0.500  0.500 x2
Fe  0.183  0.000  0.479 x4
O  0.011  0.259  0.248 x8
O  0.226  0.500  0.170 x4
O  0.237  0.500  0.741 x4

Main lines, in order of rising 2θ (2θ = 15–90°):
33.57 deg, d 2.669, I 59.3, (0 0 2); 34.00 deg, d 2.637, I 44.0, (3 1 -2); 34.30 deg, d 2.615, I 68.5, (0 2 1); 34.42 deg, d 2.606, I 48.1, (3 1 0); 34.92 deg, d 2.569, I 100.0, (2 2 -1); 41.25 deg, d 2.188, I 77.6, (2 2 -2); 41.62 deg, d 2.170, I 61.6, (4 0 0); 61.66 deg, d 1.504, I 50.1, (6 2 -2)

=====

Record 7
Sr2NiTeO6: theoretical powder diffractogram (Cu Kα (λ = 1.5418 Å)), based on a DFT-relaxed cell (PBE+U, the Materials Project).

Structure:
Cell: 9.794 5.665 5.662 Å, 90.00 125.25 90.00°
Space group C2/m (No. 12)
Symmetry-distinct sites (fractional):
Sr  0.250  0.000  0.250 x4
Ni  0.000  0.000  0.500 x2
Te  0.000  0.500  0.000 x2
O  0.002  0.258  0.759 x8
O  0.242  0.500  0.244 x4

Main lines, in order of rising 2θ (2θ = 15–90°):
19.20 deg, d 4.622, I 8.4, (0 0 1); 31.61 deg, d 2.831, I 100.0, (1 1 1); 45.31 deg, d 2.001, I 34.4, (4 0 0); 56.29 deg, d 1.634, I 35.7, (4 2 0); 65.98 deg, d 1.416, I 13.6, (2 2 2); 66.06 deg, d 1.414, I 6.8, (6 2 -2); 75.02 deg, d 1.266, I 14.1, (5 1 1); 83.67 deg, d 1.156, I 5.1, (4 4 0)

=====

Record 8
Li4Nb2Cr3Fe3O16: theoretical powder diffractogram (Cu Kα (λ = 1.5418 Å)), based on a DFT-relaxed cell (PBE+U, the Materials Project).

Structure:
Cell: 10.390 5.993 9.705 Å, 90.00 90.57 90.00°
Space group Cm (No. 8)
Symmetry-distinct sites (fractional):
Li  0.000  0.000  0.000 x2
Li  0.000  0.000  0.500 x2
Li  0.167  0.500  0.591 x2
Li  0.334  0.000  0.088 x2
Nb  0.168  0.500  0.997 x2
Nb  0.335  0.000  0.499 x2
Cr  0.329  0.500  0.278 x2
Cr  0.415  0.245  0.777 x4
Fe  0.085  0.257  0.274 x4
Fe  0.171  0.000  0.772 x2
O  0.000  0.000  0.186 x2
O  0.001  0.000  0.686 x2
O  0.019  0.500  0.145 x2
O  0.083  0.253  0.899 x4
O  0.165  0.500  0.384 x2
O  0.168  0.000  0.402 x2
O  0.242  0.280  0.149 x4
O  0.261  0.223  0.648 x4
O  0.331  0.000  0.883 x2
O  0.333  0.500  0.896 x2
O  0.415  0.250  0.398 x4
O  0.480  0.000  0.652 x2

Main lines, in order of rising 2θ (2θ = 15–90°):
19.33 deg, d 4.591, I 93.6, (1 1 -1); 19.44 deg, d 4.566, I 100.0, (2 0 1); 32.52 deg, d 2.754, I 40.2, (2 0 -3); 32.71 deg, d 2.737, I 36.1, (1 1 3); 35.04 deg, d 2.561, I 33.9, (3 1 -2); 35.74 deg, d 2.512, I 36.2, (4 0 -1); 44.91 deg, d 2.018, I 34.8, (4 0 3); 61.90 deg, d 1.499, I 56.6, (0 4 0)

=====

Record 9
Li5TiV3O8: theoretical powder diffractogram (Cu Kα (λ = 1.5418 Å)), based on a DFT-relaxed cell (PBE+U, the Materials Project).

Structure:
Cell: 12.496 4.200 6.749 Å, 90.00 108.12 90.00°
Space group Cm (No. 8)
Symmetry-distinct sites (fractional):
Li  0.000  0.000  0.000 x2
Li  0.055  0.500  0.359 x2
Li  0.175  0.500  0.991 x2
Li  0.311  0.000  0.996 x2
Li  0.440  0.000  0.624 x2
Ti  0.281  0.500  0.679 x2
V  0.106  0.000  0.672 x2
V  0.215  0.000  0.317 x2
V  0.385  0.500  0.311 x2
O  0.048  0.000  0.330 x2
O  0.120  0.500  0.670 x2
O  0.151  0.000  0.997 x2
O  0.224  0.500  0.342 x2
O  0.279  0.000  0.665 x2
O  0.337  0.500  0.976 x2
O  0.385  0.000  0.310 x2
O  0.433  0.500  0.649 x2

Main lines, in order of rising 2θ (2θ = 15–90°):
22.46 deg, d 3.959, I 100.0, (1 1 0); 27.82 deg, d 3.207, I 41.3, (0 0 2); 31.03 deg, d 2.882, I 43.6, (3 1 -1); 42.27 deg, d 2.138, I 82.8, (0 0 3); 43.08 deg, d 2.100, I 83.7, (0 2 0); 43.45 deg, d 2.083, I 77.5, (6 0 -1); 61.94 deg, d 1.498, I 43.8, (0 2 3); 62.85 deg, d 1.479, I 42.7, (6 2 -1)

=====

Record 10
Li3Mn2Si2O8: theoretical powder diffractogram (Cu Kα (λ = 1.5418 Å)), based on a DFT-relaxed cell (PBE+U, the Materials Project).

Structure:
Cell: 7.668 7.249 6.578 Å, 90.00 91.21 90.00°
Space group C2 (No. 5)
Symmetry-distinct sites (fractional):
Li  0.000  0.000  0.000 x2
Li  0.192  0.311  0.248 x4
Mn  0.182  0.322  0.736 x4
Si  0.000  0.636  0.000 x2
Si  0.000  0.982  0.500 x2
O  0.002  0.112  0.291 x4
O  0.003  0.500  0.199 x4
O  0.171  0.776  0.005 x4
O  0.177  0.856  0.506 x4

Main lines, in order of rising 2θ (2θ = 15–90°):
21.46 deg, d 4.140, I 100.0, (1 1 -1); 21.77 deg, d 4.082, I 96.1, (1 1 1); 24.56 deg, d 3.624, I 23.8, (0 2 0); 31.88 deg, d 2.808, I 33.0, (1 1 -2); 32.30 deg, d 2.771, I 49.0, (1 1 2); 34.04 deg, d 2.633, I 86.8, (2 2 0); 59.31 deg, d 1.558, I 24.0, (3 3 -2); 60.10 deg, d 1.539, I 25.1, (3 3 2)